(1)
The following is a simulated powder diffractogram of Er3TmGa2. It was derived from a DFT-relaxed cell (GGA-PBE, Alexandria), using Cu Kα, 1.54184 Å.
Peak positions follow from Bragg's law for the DFT cell and can differ from measured ones.

Crystal structure
abc: 4.8851 9.3641 6.5225
angles: 90.00 90.00 90.00
Element x y z (fractional)
Er1 0.0000 0.0479 0.0000
Er2 0.0000 0.3199 0.3622
Er3 0.0000 0.6801 0.8622
Er4 0.0000 0.9521 0.5000
Er5 0.5000 0.1818 0.7086
Er6 0.5000 0.8182 0.2086
Tm1 0.5000 0.4515 0.0706
Tm2 0.5000 0.5485 0.5706
Ga1 0.0000 0.3605 0.8265
Ga2 0.0000 0.6395 0.3265
Ga3 0.5000 0.1394 0.2447
Ga4 0.5000 0.8606 0.7447

Largest 10 diffraction maxima, sorted by position, 2θ from 10° to 90°:
d (Å), I/Imax
3.001, 47
2.816, 28
2.712, 61
2.676, 38
2.630, 100
2.605, 92
2.442, 79
2.255, 26
1.515, 25
1.449, 24

(2)
The following is a simulated powder diffractogram of ErTmGa6. It was derived from a DFT-relaxed cell (GGA-PBE, Alexandria), using Cu Kα, 1.54184 Å.
Peak positions follow from Bragg's law for the DFT cell and can differ from measured ones.

Crystal structure
abc: 4.5955 6.1891 6.1891
angles: 60.07 90.00 90.00
Element x y z (fractional)
Er1 0.0000 0.0000 0.0000
Tm1 0.5000 0.6674 0.6674
Ga1 0.0000 0.0353 0.4826
Ga2 0.0000 0.4826 0.0353
Ga3 0.0000 0.4833 0.4833
Ga4 0.5000 0.1847 0.1847
Ga5 0.5000 0.1853 0.6311
Ga6 0.5000 0.6311 0.1853

Largest 10 diffraction maxima, sorted by position, 2θ from 10° to 90°:
d (Å), I/Imax
3.489, 26
3.096, 11
2.681, 25
2.316, 100
2.298, 23
1.745, 14
1.548, 17
1.330, 17
1.287, 12
1.284, 18